For Sr2MnSO3, a DFT-relaxed cell (PBE+U, Alexandria) gives the simulated powder X-ray diffraction pattern in this record (Cu Ka).
Neutral-atom scattering factors, no anomalous dispersion.

Structure:
a = 4.012 Å, b = 4.012 Å, c = 13.655 Å
α = 90.00°, β = 90.00°, γ = 90.00°
Element x y z (fractional)
Sr: 0.250 0.250 0.099
Sr: 0.250 0.250 0.360
Sr: 0.750 0.750 0.640
Sr: 0.750 0.750 0.901
Mn: 0.250 0.250 0.778
Mn: 0.750 0.750 0.222
S: 0.250 0.250 0.590
S: 0.750 0.750 0.410
O: 0.250 0.250 0.918
O: 0.250 0.750 0.228
O: 0.250 0.750 0.772
O: 0.750 0.250 0.228
O: 0.750 0.250 0.772
O: 0.750 0.750 0.082

Top 10 peaks for 10 to 90 degrees two-theta, sorted by position:
| h k l | 2θ (°) | I/Imax |
| --- | --- | --- |
| 0 0 2 | 12.97 | 20 |
| 1 0 3 | 29.68 | 59 |
| 1 1 0 | 31.53 | 100 |
| 1 0 4 | 34.50 | 45 |
| 1 0 5 | 39.93 | 31 |
| 1 1 4 | 41.38 | 41 |
| 2 0 0 | 45.20 | 56 |
| 2 1 3 | 55.01 | 21 |
| 2 1 4 | 58.07 | 19 |
| 2 2 0 | 65.84 | 19 |